[1]
Starting from a cell relaxed with GGA-PBE, the powder X-ray diffraction pattern of Tl6Cd was calculated for Cu Ka.
Intensities are scaled so that the largest is 100.

Cell and atoms:
Lattice parameters (Å, degrees): 4.825 4.825 9.532 90.00 90.00 90.00
Space group P4/mmm (No. 123)
Unique sites:
Tl  0.000  0.000  0.000 (multiplicity 1)
Tl  0.000  0.500  0.246 (multiplicity 4)
Tl  0.500  0.500  0.500 (multiplicity 1)
Cd  0.000  0.000  0.500 (multiplicity 1)

Main lines, by angle (2θ = 15–90°):
| d/Å | 2θ (°) | intensity | h k l |
| --- | --- | --- | --- |
| 4.305 | 20.63 | 14 | 1 0 1 |
| 2.774 | 32.27 | 100 | 1 1 2 |
| 2.412 | 37.27 | 34 | 2 0 0 |
| 2.383 | 37.75 | 16 | 0 0 4 |
| 1.695 | 54.09 | 24 | 2 0 4 |
| 1.453 | 64.08 | 28 | 3 1 2 |
| 1.440 | 64.73 | 14 | 1 1 6 |
| 1.387 | 67.53 | 12 | 2 2 4 |


[2]
Starting from a cell relaxed with GGA-PBE, the powder X-ray diffraction pattern of Tl7Cd2 was calculated for Cu Ka.
Intensities are scaled so that the largest is 100.

Cell and atoms:
Lattice parameters (Å, degrees): 5.9363 5.9363 8.6099 90.00 90.00 120.00
Space group P-31m (No. 162)
Unique sites:
Tl  0.0000  0.0000  0.0000 (multiplicity 1)
Tl  0.0000  0.3380  0.6752 (multiplicity 6)
Cd  0.3333  0.6667  0.0000 (multiplicity 2)

Main lines, by angle (2θ = 15–90°):
| d/Å | 2θ (°) | intensity | h k l |
| --- | --- | --- | --- |
| 2.870 | 31.16 | 34 | 0 0 3 |
| 2.806 | 31.89 | 100 | 1 1 1 |
| 2.444 | 36.78 | 67 | 2 -1 2 |
| 1.743 | 52.52 | 25 | 1 1 4 |
| 1.714 | 53.47 | 23 | 3 0 0 |
| 1.489 | 62.34 | 14 | 2 -1 5 |
| 1.471 | 63.20 | 28 | 3 0 3 |
| 1.463 | 63.62 | 14 | 4 -2 1 |


[3]
Starting from a cell relaxed with GGA-PBE, the powder X-ray diffraction pattern of TlCd3 was calculated for Cu Ka.
Intensities are scaled so that the largest is 100.

Cell and atoms:
Lattice parameters (Å, degrees): 10.554 3.214 6.121 90.00 103.97 90.00
Space group C2/m (No. 12)
Unique sites:
Tl  0.000  0.000  0.000 (multiplicity 2)
Cd  0.000  0.500  0.500 (multiplicity 2)
Cd  0.243  0.000  0.731 (multiplicity 4)

Main lines, by angle (2θ = 15–90°):
| d/Å | 2θ (°) | intensity | h k l |
| --- | --- | --- | --- |
| 2.890 | 30.94 | 64 | 2 0 -2 |
| 2.648 | 33.85 | 100 | 1 1 1 |
| 2.561 | 35.04 | 45 | 4 0 0 |
| 2.336 | 38.54 | 34 | 2 0 2 |
| 2.312 | 38.96 | 69 | 3 1 -1 |
| 1.721 | 53.22 | 26 | 1 1 -3 |
| 1.575 | 58.61 | 19 | 5 1 1 |
| 1.457 | 63.89 | 15 | 5 1 -3 |


[4]
Starting from a cell relaxed with GGA-PBE, the powder X-ray diffraction pattern of Tm6TlCd3 was calculated for Cu Ka.
Intensities are scaled so that the largest is 100.

Cell and atoms:
Lattice parameters (Å, degrees): 9.272 5.215 11.463 90.00 106.60 90.00
Space group P2_1/m (No. 11)
Unique sites:
Tm  0.040  0.250  0.410 (multiplicity 2)
Tm  0.150  0.750  0.178 (multiplicity 2)
Tm  0.249  0.250  0.000 (multiplicity 2)
Tm  0.334  0.750  0.805 (multiplicity 2)
Tm  0.368  0.250  0.327 (multiplicity 2)
Tm  0.394  0.250  0.615 (multiplicity 2)
Tl  0.451  0.750  0.110 (multiplicity 2)
Cd  0.028  0.750  0.880 (multiplicity 2)
Cd  0.118  0.250  0.714 (multiplicity 2)
Cd  0.275  0.750  0.472 (multiplicity 2)

Main lines, by angle (2θ = 15–90°):
| d/Å | 2θ (°) | intensity | h k l |
| --- | --- | --- | --- |
| 2.708 | 33.09 | 22 | 2 0 -4 |
| 2.658 | 33.72 | 100 | 1 1 3 |
| 2.608 | 34.39 | 28 | 0 2 0 |
| 1.879 | 48.44 | 23 | 4 0 2 |
| 1.553 | 59.51 | 10 | 1 1 -7 |
| 1.526 | 60.71 | 8 | 4 2 2 |
| 1.515 | 61.17 | 18 | 1 3 3 |
| 1.329 | 70.91 | 8 | 2 2 6 |


[5]
Starting from a cell relaxed with GGA-PBE, the powder X-ray diffraction pattern of Tm4TlCd3 was calculated for Cu Ka.
Intensities are scaled so that the largest is 100.

Cell and atoms:
Lattice parameters (Å, degrees): 3.710 3.710 14.833 90.00 90.00 90.00
Space group P4/mmm (No. 123)
Unique sites:
Tm  0.000  0.000  0.124 (multiplicity 2)
Tm  0.000  0.000  0.370 (multiplicity 2)
Tl  0.500  0.500  0.500 (multiplicity 1)
Cd  0.500  0.500  0.000 (multiplicity 1)
Cd  0.500  0.500  0.245 (multiplicity 2)

Main lines, by angle (2θ = 15–90°):
| d/Å | 2θ (°) | intensity | h k l |
| --- | --- | --- | --- |
| 3.709 | 23.99 | 1 | 1 0 0 |
| 3.318 | 26.87 | 1 | 1 0 2 |
| 2.967 | 30.12 | 1 | 1 0 3 |
| 2.623 | 34.19 | 100 | 1 1 0 |
| 1.855 | 49.13 | 18 | 2 0 0 |
| 1.514 | 61.21 | 37 | 2 1 4 |
| 1.311 | 72.01 | 11 | 2 2 0 |
| 1.173 | 82.18 | 16 | 3 1 0 |